Entry 1:
Structure and computed PXRD pattern of DySc (a PBE-relaxed structure; Cu Kα (weighted mean of Kα1 and Kα2)).
No peak broadening, texture or thermal motion is included.

The 10 most intense peaks (5 to 70 degrees two-theta), low angle first:
Position (°2θ), I_rel
21.44, 30
23.27, 38
25.24, 28
31.84, 79
33.35, 75
34.57, 100
41.06, 27
56.85, 25
59.33, 21
62.12, 22

Crystal structure
```
DySc
1.0
7.646 0.000 0.000
0.000 8.291 0.000
0.000 0.000 3.529
Dy Sc
4 4
Cartesian
0.000 1.769 0.000 Dy
0.000 6.521 0.000 Dy
3.823 2.376 0.000 Dy
3.823 5.915 0.000 Dy
1.574 4.145 1.764 Sc
2.250 0.000 1.764 Sc
5.397 0.000 1.764 Sc
6.073 4.145 1.764 Sc
```

Entry 2:
Structure and computed PXRD pattern of Dy2ScSe (a PBE-relaxed structure; Cu Kα (weighted mean of Kα1 and Kα2)).
No peak broadening, texture or thermal motion is included.

The 10 most intense peaks (5 to 70 degrees two-theta), low angle first:
Position (°2θ), I_rel
9.71, 40
19.50, 14
27.76, 22
28.34, 22
30.57, 24
32.15, 100
36.06, 23
43.35, 35
48.74, 34
59.59, 17

Crystal structure
```
Dy2ScSe
1.0
3.737 0.000 0.000
-1.868 3.236 0.000
0.000 0.000 27.315
Dy Sc Se
6 3 3
Cartesian
0.000 0.000 0.000 Dy
0.000 0.000 5.326 Dy
0.000 2.157 18.210 Dy
0.000 2.157 23.535 Dy
1.868 1.079 9.105 Dy
1.868 1.079 14.431 Dy
0.000 0.000 20.888 Sc
0.000 2.157 11.783 Sc
1.868 1.079 2.678 Sc
0.000 0.000 16.319 Se
0.000 2.157 7.214 Se
1.868 1.079 25.424 Se
```

Entry 3:
Structure and computed PXRD pattern of DyScSe3 (a PBE-relaxed structure; Cu Kα (weighted mean of Kα1 and Kα2)).
No peak broadening, texture or thermal motion is included.

The 10 most intense peaks (5 to 70 degrees two-theta), low angle first:
Position (°2θ), I_rel
14.56, 83
23.89, 33
28.43, 38
29.81, 61
30.07, 100
34.95, 32
35.56, 57
39.21, 45
45.25, 35
46.26, 63

Crystal structure
```
DyScSe3
1.0
6.756 0.000 0.000
0.000 4.008 0.000
-1.873 0.000 10.099
Dy Sc Se
2 2 6
Cartesian
0.691 1.002 1.510 Dy
4.193 3.006 8.589 Dy
0.839 1.002 5.230 Sc
4.045 3.006 4.868 Sc
-0.303 3.006 3.579 Se
-0.181 3.006 10.030 Se
1.951 3.006 6.620 Se
2.932 1.002 3.479 Se
5.064 1.002 0.069 Se
5.187 1.002 6.520 Se
```

Entry 4:
Structure and computed PXRD pattern of TbDySc2Se6 (a PBE-relaxed structure; Cu Kα (weighted mean of Kα1 and Kα2)).
No peak broadening, texture or thermal motion is included.

The 10 most intense peaks (5 to 70 degrees two-theta), low angle first:
Position (°2θ), I_rel
17.37, 69
23.90, 51
29.16, 98
30.94, 28
35.16, 34
38.47, 100
43.87, 28
44.77, 64
50.73, 34
60.47, 22

Crystal structure
```
TbDySc2Se6
1.0
3.506 2.024 6.286
-3.506 2.024 6.286
0.000 -4.048 6.286
Tb Dy Sc Se
1 1 2 6
Cartesian
0.000 0.000 0.000 Tb
0.000 0.000 9.417 Dy
0.000 0.000 5.753 Sc
0.000 0.000 15.187 Sc
-1.225 -1.768 7.477 Se
-2.573 -0.078 10.618 Se
-0.919 1.945 7.477 Se
1.354 -2.190 10.618 Se
2.144 -0.177 7.477 Se
1.220 2.267 10.618 Se
```

Entry 5:
Structure and computed PXRD pattern of Dy2YScSe6 (a PBE-relaxed structure; Cu Kα (weighted mean of Kα1 and Kα2)).
No peak broadening, texture or thermal motion is included.

The 10 most intense peaks (5 to 70 degrees two-theta), low angle first:
Position (°2θ), I_rel
17.12, 60
23.50, 48
25.07, 19
28.74, 88
34.63, 32
37.83, 100
43.23, 29
44.16, 64
49.85, 18
59.52, 24

Crystal structure
```
Dy2YScSe6
1.0
3.552 2.051 6.402
-3.552 2.051 6.402
0.000 -4.102 6.402
Dy Y Sc Se
2 1 1 6
Cartesian
0.000 0.000 0.000 Dy
0.000 0.000 9.556 Dy
0.000 0.000 3.744 Y
0.000 0.000 13.288 Sc
-1.218 -2.238 8.273 Se
-2.127 0.035 11.527 Se
-1.329 2.173 8.273 Se
1.033 -1.860 11.527 Se
2.547 0.064 8.273 Se
1.094 1.825 11.527 Se
```

Entry 6:
Structure and computed PXRD pattern of Dy2Sc3Si4 (a PBE-relaxed structure; Cu Kα (weighted mean of Kα1 and Kα2)).
No peak broadening, texture or thermal motion is included.

The 10 most intense peaks (5 to 70 degrees two-theta), low angle first:
Position (°2θ), I_rel
13.56, 39
22.57, 51
27.98, 27
28.67, 32
33.45, 89
34.04, 100
35.37, 29
38.69, 54
40.08, 25
56.98, 24

Crystal structure
```
Dy2Sc3Si4
1.0
7.085 0.000 0.000
0.000 13.969 0.000
0.000 0.000 7.389
Dy Sc Si
8 12 16
Cartesian
0.081 1.351 1.300 Dy
0.081 5.634 1.300 Dy
3.461 8.335 4.995 Dy
3.461 12.618 4.995 Dy
3.624 1.351 2.394 Dy
3.624 5.634 2.394 Dy
7.004 8.335 6.089 Dy
7.004 12.618 6.089 Dy
1.149 10.477 3.719 Sc
1.205 1.751 5.001 Sc
1.205 5.234 5.001 Sc
2.338 8.735 1.306 Sc
2.338 12.218 1.306 Sc
2.393 3.492 0.024 Sc
4.692 10.477 7.365 Sc
4.747 1.751 6.083 Sc
4.747 5.234 6.083 Sc
5.880 8.735 2.388 Sc
5.880 12.218 2.388 Sc
5.935 3.492 3.670 Sc
0.236 10.477 0.850 Si
1.115 7.529 3.435 Si
1.115 13.425 3.435 Si
1.519 3.492 2.754 Si
2.023 10.477 6.448 Si
2.427 0.544 7.129 Si
2.427 6.440 7.129 Si
3.307 3.492 4.545 Si
3.778 10.477 2.844 Si
4.658 7.529 0.260 Si
4.658 13.425 0.260 Si
5.062 3.492 0.941 Si
5.566 10.477 4.635 Si
5.970 0.544 3.954 Si
5.970 6.440 3.954 Si
6.849 3.492 6.539 Si
```

Entry 7:
Structure and computed PXRD pattern of Dy2Sc3Si4 (a PBE-relaxed structure; Cu Kα (weighted mean of Kα1 and Kα2)).
No peak broadening, texture or thermal motion is included.

The 10 most intense peaks (5 to 70 degrees two-theta), low angle first:
Position (°2θ), I_rel
17.45, 100
29.20, 36
32.16, 62
32.97, 81
34.81, 80
35.20, 78
35.32, 42
35.43, 35
38.96, 63
40.16, 38

Crystal structure
```
Dy2Sc3Si4
1.0
7.369 0.000 0.000
0.000 7.387 0.000
-2.204 0.000 6.719
Dy Sc Si
4 6 8
Cartesian
1.271 1.287 0.494 Dy
0.169 2.406 3.853 Dy
4.997 4.981 2.866 Dy
3.895 6.099 6.225 Dy
1.285 5.019 1.673 Sc
0.184 6.061 5.033 Sc
2.583 0.000 3.359 Sc
3.685 3.693 0.000 Sc
4.982 1.326 1.686 Sc
3.880 2.368 5.045 Sc
-1.338 3.956 5.820 Si
-0.237 7.124 2.461 Si
1.713 0.897 5.862 Si
2.815 2.797 2.503 Si
2.351 4.590 4.216 Si
3.453 6.490 0.857 Si
5.402 0.263 4.258 Si
6.504 3.431 0.899 Si
```

Entry 8:
Structure and computed PXRD pattern of Sm2Dy8Sc3 (a PBE-relaxed structure; Cu Kα (weighted mean of Kα1 and Kα2)).
No peak broadening, texture or thermal motion is included.

The 10 most intense peaks (5 to 70 degrees two-theta), low angle first:
Position (°2θ), I_rel
20.41, 26
24.63, 38
28.45, 27
31.75, 87
32.49, 96
32.62, 100
33.57, 40
34.47, 30
34.78, 54
36.10, 31

Crystal structure
```
Sm2Dy8Sc3
1.0
7.337 -4.351 0.000
7.337 4.351 0.000
-0.933 0.000 6.492
Sm Dy Sc
2 8 3
Cartesian
2.715 0.000 1.839 Sm
11.028 0.000 4.653 Sm
2.063 0.000 5.135 Dy
5.203 1.591 3.734 Dy
5.941 0.000 0.731 Dy
8.540 1.591 2.758 Dy
5.203 -1.591 3.734 Dy
7.802 0.000 5.761 Dy
8.540 -1.591 2.758 Dy
11.679 0.000 1.357 Dy
-0.466 0.000 3.246 Sc
7.337 2.926 0.000 Sc
7.337 -2.926 0.000 Sc
```

Entry 9:
Structure and computed PXRD pattern of Sm3Dy4Sc (a PBE-relaxed structure; Cu Kα (weighted mean of Kα1 and Kα2)).
No peak broadening, texture or thermal motion is included.

The 10 most intense peaks (5 to 70 degrees two-theta), low angle first:
Position (°2θ), I_rel
28.56, 24
31.74, 24
32.76, 100
43.22, 16
50.46, 7
50.64, 13
57.20, 20
60.86, 7
61.02, 15
61.51, 11

Crystal structure
```
Sm3Dy4Sc
1.0
11.275 0.000 0.000
0.000 7.234 0.000
0.000 0.000 6.237
Sm Dy Sc
6 8 2
Cartesian
0.000 0.907 0.000 Sm
2.817 0.891 2.065 Sm
2.821 6.343 5.184 Sm
5.638 6.328 3.118 Sm
8.459 0.891 2.065 Sm
8.455 6.343 5.184 Sm
0.000 2.710 3.143 Dy
0.000 4.517 6.226 Dy
2.761 4.527 2.103 Dy
2.877 2.708 5.221 Dy
5.638 2.717 3.107 Dy
5.638 4.524 0.025 Dy
8.398 2.708 5.221 Dy
8.515 4.527 2.103 Dy
0.000 6.313 3.107 Sc
5.638 0.921 6.226 Sc
```

Entry 10:
Structure and computed PXRD pattern of Sm2Dy2Sc7 (a PBE-relaxed structure; Cu Kα (weighted mean of Kα1 and Kα2)).
No peak broadening, texture or thermal motion is included.

The 10 most intense peaks (5 to 70 degrees two-theta), low angle first:
Position (°2θ), I_rel
19.20, 29
23.69, 27
26.05, 51
32.56, 40
32.69, 41
33.72, 38
33.93, 100
35.60, 58
35.76, 51
47.33, 27

Crystal structure
```
Sm2Dy2Sc7
1.0
5.327 -5.479 0.000
5.327 5.479 0.000
-2.321 0.000 5.254
Sm Dy Sc
2 2 7
Cartesian
5.327 3.227 0.000 Sm
5.327 -3.227 0.000 Sm
2.650 0.000 3.590 Dy
5.682 0.000 1.663 Dy
-1.161 0.000 2.627 Sc
2.741 2.888 1.703 Sc
2.334 0.000 0.392 Sc
5.591 2.888 3.550 Sc
2.741 -2.888 1.703 Sc
5.998 0.000 4.862 Sc
5.591 -2.888 3.550 Sc
```

Entry 11:
Structure and computed PXRD pattern of SmDy5Sc4 (a PBE-relaxed structure; Cu Kα (weighted mean of Kα1 and Kα2)).
No peak broadening, texture or thermal motion is included.

The 10 most intense peaks (5 to 70 degrees two-theta), low angle first:
Position (°2θ), I_rel
18.29, 42
23.74, 52
25.46, 21
31.31, 31
33.27, 44
34.23, 100
35.28, 28
41.28, 25
43.86, 21
60.08, 25

Crystal structure
```
SmDy5Sc4
1.0
10.112 0.000 0.000
0.000 11.172 0.000
0.000 0.000 5.386
Sm Dy Sc
2 10 8
Cartesian
2.528 2.793 1.347 Sm
7.584 8.379 4.039 Sm
0.518 0.546 1.347 Dy
0.518 5.040 1.347 Dy
2.528 8.379 4.034 Dy
4.538 0.546 1.347 Dy
4.538 5.040 1.347 Dy
5.574 6.132 4.039 Dy
5.574 10.626 4.039 Dy
7.584 2.793 1.352 Dy
9.594 6.132 4.039 Dy
9.594 10.626 4.039 Dy
0.039 2.793 4.041 Sc
2.528 0.647 4.040 Sc
2.528 4.939 4.040 Sc
5.017 2.793 4.041 Sc
5.095 8.379 1.345 Sc
7.584 6.233 1.346 Sc
7.584 10.525 1.346 Sc
10.073 8.379 1.345 Sc
```

Entry 12:
Structure and computed PXRD pattern of Sm4DySc2 (a PBE-relaxed structure; Cu Kα (weighted mean of Kα1 and Kα2)).
No peak broadening, texture or thermal motion is included.

The 10 most intense peaks (5 to 70 degrees two-theta), low angle first:
Position (°2θ), I_rel
22.43, 20
25.12, 27
27.76, 23
31.93, 52
33.92, 22
34.09, 100
45.78, 14
48.85, 28
58.29, 24
62.36, 15

Crystal structure
```
Sm4DySc2
1.0
7.926 -7.930 0.000
7.926 7.930 0.000
0.000 0.000 3.515
Sm Dy Sc
8 2 4
Cartesian
2.254 1.711 3.514 Sm
2.254 -1.711 0.001 Sm
5.673 1.711 0.001 Sm
5.673 -1.711 3.514 Sm
10.180 1.711 0.001 Sm
10.180 -1.711 3.514 Sm
13.599 1.711 3.514 Sm
13.599 -1.711 0.001 Sm
7.926 3.965 1.760 Dy
7.926 -3.965 1.755 Dy
0.000 0.000 1.758 Sc
3.963 3.965 1.758 Sc
3.963 -3.965 1.758 Sc
7.926 0.000 1.758 Sc
```